Theoretical XRD peak list of Sr5Si3 for Cu Kα, from a DFT-relaxed cell (PBE, the Materials Project).
No peak broadening, texture or thermal motion is included.

Peak list (8 most intense, 15° ≤ 2θ ≤ 90°, by angle)
2θ/deg  I (rel.)
25.3  34
29.9  100
31.3  24
31.6  77
35.1  40
46.7  25
49.6  36
53.4  25

Cell: 8.0780 8.0780 15.8735 Å, 90.00 90.00 90.00°
Space group I4/mcm (No. 140)
Inequivalent atoms, fractional coordinates:
Sr1 0.0000 0.0000 0.0000 (multiplicity 4)
Sr2 0.1800 0.3200 0.1410 (multiplicity 16)
Si1 0.0000 0.0000 0.2500 (multiplicity 4)
Si2 0.1077 0.3923 0.5000 (multiplicity 8)



Theoretical XRD peak list of SrZnSi for Cu Kα, from a DFT-relaxed cell (PBE, the Materials Project).
No peak broadening, texture or thermal motion is included.

Peak list (8 most intense, 15° ≤ 2θ ≤ 90°, by angle)
2θ/deg  I (rel.)
24.1  12
30.9  100
38.9  15
42.3  36
53.3  21
58.8  26
65.5  11
70.3  18

Cell: 4.2715 4.2715 4.6322 Å, 90.00 90.00 120.00°
Space group P-6m2 (No. 187)
Inequivalent atoms, fractional coordinates:
Sr1 0.0000 0.0000 0.0000 (multiplicity 1)
Zn1 0.6667 0.3333 0.5000 (multiplicity 1)
Si1 0.3333 0.6667 0.5000 (multiplicity 1)



Theoretical XRD peak list of SrZnSi for Cu Kα, from a DFT-relaxed cell (PBE, the Materials Project).
No peak broadening, texture or thermal motion is included.

Peak list (8 most intense, 15° ≤ 2θ ≤ 90°, by angle)
2θ/deg  I (rel.)
25.8  11
31.1  100
40.0  15
41.9  40
53.1  21
59.3  28
67.2  10
69.8  19

Cell: 4.3155 4.3155 9.0100 Å, 90.00 90.00 120.00°
Space group P6_3/mmc (No. 194)
Inequivalent atoms, fractional coordinates:
Sr1 0.0000 0.0000 0.0000 (multiplicity 2)
Zn1 0.3333 0.6667 0.2500 (multiplicity 2)
Si1 0.3333 0.6667 0.7500 (multiplicity 2)



Theoretical XRD peak list of Sr2Zn5Si3 for Cu Kα, from a DFT-relaxed cell (PBE, the Materials Project).
No peak broadening, texture or thermal motion is included.

Peak list (8 most intense, 15° ≤ 2θ ≤ 90°, by angle)
2θ/deg  I (rel.)
32.7  33
34.1  100
42.3  44
45.3  13
47.6  17
54.5  15
61.4  14
72.1  21

Cell: 4.2712 4.2712 10.6913 Å, 90.00 90.00 90.00°
Space group P4mm (No. 99)
Inequivalent atoms, fractional coordinates:
Sr1 0.0000 0.0000 0.0000 (multiplicity 1)
Sr2 0.5000 0.5000 0.4929 (multiplicity 1)
Zn1 0.0000 0.0000 0.6110 (multiplicity 1)
Zn2 0.0000 0.5000 0.2457 (multiplicity 2)
Zn3 0.0000 0.5000 0.7508 (multiplicity 2)
Si1 0.0000 0.0000 0.3791 (multiplicity 1)
Si2 0.5000 0.5000 0.1114 (multiplicity 1)
Si3 0.5000 0.5000 0.8858 (multiplicity 1)



Copy entry 1 word for word.
Theoretical XRD peak list of Sr5Si3 for Cu Kα, from a DFT-relaxed cell (PBE, the Materials Project).
No peak broadening, texture or thermal motion is included.

Peak list (8 most intense, 15° ≤ 2θ ≤ 90°, by angle)
2θ/deg  I (rel.)
25.3  34
29.9  100
31.3  24
31.6  77
35.1  40
46.7  25
49.6  36
53.4  25

Cell: 8.0780 8.0780 15.8735 Å, 90.00 90.00 90.00°
Space group I4/mcm (No. 140)
Inequivalent atoms, fractional coordinates:
Sr1 0.0000 0.0000 0.0000 (multiplicity 4)
Sr2 0.1800 0.3200 0.1410 (multiplicity 16)
Si1 0.0000 0.0000 0.2500 (multiplicity 4)
Si2 0.1077 0.3923 0.5000 (multiplicity 8)